Record 1
Simulated powder X-ray diffraction pattern of LiAcSn2Pd5 for Cu Kα (weighted mean of Kα1 and Kα2), from a PBE-relaxed structure.
Lines closer than 0.1° are merged.

Most intense lines, 10° ≤ 2θ ≤ 80°, in order of rising 2θ:
2θ = 22.4°, I 42
2θ = 34.3°, I 100
2θ = 39.7°, I 92
2θ = 41.0°, I 16
2θ = 42.0°, I 62
2θ = 44.2°, I 17
2θ = 60.9°, I 21
2θ = 62.6°, I 25
2θ = 71.8°, I 23
2θ = 75.2°, I 28

Cell and atoms:
```
LiAcSn2Pd5
1.0
4.3020 0.0000 0.0000
0.0000 4.3020 0.0000
0.0000 0.0000 10.2451
Li Ac Sn Pd
1 1 2 5
direct
0.0000 0.0000 0.0000 Li
0.0000 0.0000 0.5000 Ac
0.5000 0.5000 0.1366 Sn
0.5000 0.5000 0.8634 Sn
0.0000 0.5000 0.2864 Pd
0.0000 0.5000 0.7136 Pd
0.5000 0.0000 0.2864 Pd
0.5000 0.0000 0.7136 Pd
0.5000 0.5000 0.5000 Pd
```

=====

Record 2
Simulated powder X-ray diffraction pattern of Pm5ZnIn4 for Cu Kα (weighted mean of Kα1 and Kα2), from a PBE-relaxed structure.
Lines closer than 0.1° are merged.

Most intense lines, 10° ≤ 2θ ≤ 80°, in order of rising 2θ:
2θ = 29.9°, I 4
2θ = 32.8°, I 100
2θ = 34.2°, I 48
2θ = 44.9°, I 8
2θ = 49.2°, I 17
2θ = 57.6°, I 16
2θ = 60.4°, I 34
2θ = 68.7°, I 9
2θ = 72.1°, I 5
2θ = 75.0°, I 5

Cell and atoms:
```
Pm5ZnIn4
1.0
3.7068 0.0000 0.0000
0.0000 3.7068 0.0000
0.0000 0.0000 20.2020
Pm Zn In
5 1 4
direct
0.0000 0.0000 0.0000 Pm
0.0000 0.0000 0.2067 Pm
0.0000 0.0000 0.4125 Pm
0.0000 0.0000 0.5875 Pm
0.0000 0.0000 0.7933 Pm
0.5000 0.5000 0.5000 Zn
0.5000 0.5000 0.1038 In
0.5000 0.5000 0.3105 In
0.5000 0.5000 0.6895 In
0.5000 0.5000 0.8962 In
```

=====

Record 3
Simulated powder X-ray diffraction pattern of CaAl2Ag5 for Cu Kα (weighted mean of Kα1 and Kα2), from a PBE-relaxed structure.
Lines closer than 0.1° are merged.

Most intense lines, 10° ≤ 2θ ≤ 80°, in order of rising 2θ:
2θ = 14.1°, I 66
2θ = 33.8°, I 96
2θ = 34.3°, I 100
2θ = 41.0°, I 55
2θ = 42.0°, I 43
2θ = 42.8°, I 21
2θ = 43.1°, I 27
2θ = 47.2°, I 27
2θ = 64.3°, I 27
2θ = 70.7°, I 19

Cell and atoms:
```
CaAl2Ag5
1.0
-1.9259 3.8934 5.3370
1.9259 -3.8934 5.3370
1.9259 3.8934 -5.3370
Ca Al Ag
1 2 5
direct
0.0000 0.0000 0.0000 Ca
0.2477 0.7477 0.5000 Al
0.7523 0.2523 0.5000 Al
0.1581 0.3575 0.8006 Ag
0.4431 0.6425 0.8006 Ag
0.5000 0.0000 0.5000 Ag
0.5569 0.3575 0.1994 Ag
0.8419 0.6425 0.1994 Ag
```

=====

Record 4
Simulated powder X-ray diffraction pattern of HfCuRe3 for Cu Kα (weighted mean of Kα1 and Kα2), from a PBE-relaxed structure.
Lines closer than 0.1° are merged.

Most intense lines, 10° ≤ 2θ ≤ 80°, in order of rising 2θ:
2θ = 19.9°, I 4
2θ = 28.2°, I 2
2θ = 34.7°, I 100
2θ = 40.3°, I 73
2θ = 45.3°, I 2
2θ = 50.0°, I 1
2θ = 58.4°, I 50
2θ = 62.3°, I 1
2θ = 69.7°, I 41
2θ = 73.3°, I 17

Cell and atoms:
```
HfCuRe3
1.0
4.4717 0.0000 0.0000
0.0000 4.4717 0.0000
0.0000 0.0000 4.4717
Hf Cu Re
1 1 3
direct
0.0000 0.0000 0.0000 Hf
0.5000 0.5000 0.5000 Cu
0.0000 0.5000 0.5000 Re
0.5000 0.0000 0.5000 Re
0.5000 0.5000 0.0000 Re
```

=====

Record 5
Simulated powder X-ray diffraction pattern of Tb4Dy2Tm3 for Cu Kα (weighted mean of Kα1 and Kα2), from a PBE-relaxed structure.
Lines closer than 0.1° are merged.

Most intense lines, 10° ≤ 2θ ≤ 80°, in order of rising 2θ:
2θ = 31.1°, I 13
2θ = 31.8°, I 100
2θ = 32.2°, I 97
2θ = 45.8°, I 33
2θ = 52.7°, I 9
2θ = 57.1°, I 32
2θ = 57.4°, I 15
2θ = 63.1°, I 28
2θ = 67.3°, I 8
2θ = 76.4°, I 11

Cell and atoms:
```
Tb4Dy2Tm3
1.0
4.8198 -8.3399 0.0000
4.8198 8.3399 0.0000
0.0000 0.0000 6.9450
Tb Dy Tm
8 4 6
direct
0.0321 0.6820 0.0000 Tb
0.3180 0.3508 0.0000 Tb
0.3180 0.9679 0.5000 Tb
0.3508 0.3180 0.5000 Tb
0.6492 0.6820 0.5000 Tb
0.6820 0.0321 0.5000 Tb
0.6820 0.6492 0.0000 Tb
0.9679 0.3180 0.0000 Tb
0.0322 0.3502 0.5000 Dy
0.3502 0.0322 0.0000 Dy
0.6498 0.9678 0.0000 Dy
0.9678 0.6498 0.5000 Dy
0.0000 0.0000 0.2500 Tm
0.0000 0.0000 0.7500 Tm
0.3327 0.6673 0.2500 Tm
0.3327 0.6673 0.7500 Tm
0.6673 0.3327 0.2500 Tm
0.6673 0.3327 0.7500 Tm
```

=====

Record 6
Simulated powder X-ray diffraction pattern of Ba3GeBr for Cu Kα (weighted mean of Kα1 and Kα2), from a PBE-relaxed structure.
Lines closer than 0.1° are merged.

Most intense lines, 10° ≤ 2θ ≤ 80°, in order of rising 2θ:
2θ = 21.1°, I 26
2θ = 22.8°, I 27
2θ = 26.9°, I 75
2θ = 27.1°, I 100
2θ = 27.9°, I 54
2θ = 29.5°, I 31
2θ = 30.4°, I 26
2θ = 33.6°, I 64
2θ = 35.1°, I 54
2θ = 38.2°, I 46

Cell and atoms:
```
Ba3GeBr
1.0
9.5449 0.0000 0.0000
0.0000 4.7104 0.0000
-2.0129 0.0000 9.6023
Ba Ge Br
6 2 2
direct
0.0884 0.2500 0.3669 Ba
0.1931 0.7500 0.0069 Ba
0.3947 0.7500 0.7102 Ba
0.6053 0.2500 0.2898 Ba
0.8069 0.2500 0.9931 Ba
0.9116 0.7500 0.6331 Ba
0.1539 0.2500 0.7554 Ge
0.8461 0.7500 0.2446 Ge
0.3586 0.7500 0.3588 Br
0.6414 0.2500 0.6412 Br
```

=====

Record 7
Simulated powder X-ray diffraction pattern of CrNiAu for Cu Kα (weighted mean of Kα1 and Kα2), from a PBE-relaxed structure.
Lines closer than 0.1° are merged.

Most intense lines, 10° ≤ 2θ ≤ 80°, in order of rising 2θ:
2θ = 16.9°, I 57
2θ = 32.4°, I 45
2θ = 34.0°, I 40
2θ = 34.1°, I 33
2θ = 40.7°, I 100
2θ = 42.0°, I 90
2θ = 45.9°, I 74
2θ = 52.2°, I 20
2θ = 58.4°, I 28
2θ = 72.0°, I 30

Cell and atoms:
```
CrNiAu
1.0
5.4556 0.0000 0.0000
0.0000 2.8653 0.0000
0.0000 0.0000 10.5197
Cr Ni Au
4 4 4
direct
0.1112 0.2500 0.0534 Cr
0.3888 0.7500 0.5534 Cr
0.6112 0.2500 0.4466 Cr
0.8888 0.7500 0.9466 Cr
0.1174 0.2500 0.4285 Ni
0.3826 0.7500 0.9285 Ni
0.6174 0.2500 0.0715 Ni
0.8826 0.7500 0.5715 Ni
0.1325 0.2500 0.7509 Au
0.3675 0.7500 0.2509 Au
0.6325 0.2500 0.7491 Au
0.8675 0.7500 0.2491 Au
```

=====

Record 8
Simulated powder X-ray diffraction pattern of Dy4GaGe3 for Cu Kα (weighted mean of Kα1 and Kα2), from a PBE-relaxed structure.
Lines closer than 0.1° are merged.

Most intense lines, 10° ≤ 2θ ≤ 80°, in order of rising 2θ:
2θ = 27.9°, I 23
2θ = 31.7°, I 100
2θ = 32.5°, I 36
2θ = 33.3°, I 30
2θ = 39.8°, I 50
2θ = 40.4°, I 15
2θ = 42.0°, I 25
2θ = 45.6°, I 20
2θ = 54.6°, I 15
2θ = 57.1°, I 15

Cell and atoms:
```
Dy4GaGe3
1.0
3.9770 0.0000 0.0000
0.0000 4.3050 0.0000
0.0000 0.0000 10.7751
Dy Ga Ge
4 1 3
direct
0.0000 0.0000 0.0000 Dy
0.0000 0.5000 0.4994 Dy
0.5000 0.0000 0.2776 Dy
0.5000 0.5000 0.7785 Dy
0.5000 0.0000 0.5589 Ga
0.0000 0.0000 0.7198 Ge
0.0000 0.5000 0.2225 Ge
0.5000 0.5000 0.0539 Ge
```

=====

Record 9
Simulated powder X-ray diffraction pattern of Er2Ga3Cu for Cu Kα (weighted mean of Kα1 and Kα2), from a PBE-relaxed structure.
Lines closer than 0.1° are merged.

Most intense lines, 10° ≤ 2θ ≤ 80°, in order of rising 2θ:
2θ = 23.5°, I 22
2θ = 34.6°, I 100
2θ = 41.4°, I 57
2θ = 45.1°, I 8
2θ = 51.3°, I 6
2θ = 55.0°, I 26
2θ = 57.2°, I 6
2θ = 68.0°, I 15
2θ = 71.1°, I 24
2θ = 75.5°, I 9

Cell and atoms:
```
Er2Ga3Cu
1.0
4.3634 0.0000 0.0000
-2.1817 3.7788 0.0000
0.0000 0.0000 7.1206
Er Ga Cu
2 3 1
direct
0.0000 0.0000 0.0000 Er
0.0000 0.0000 0.4706 Er
0.3333 0.6667 0.2182 Ga
0.3333 0.6667 0.7829 Ga
0.6667 0.3333 0.6888 Ga
0.6667 0.3333 0.2723 Cu
```

=====

Record 10
Simulated powder X-ray diffraction pattern of Rb2NaPmBr6 for Cu Kα (weighted mean of Kα1 and Kα2), from a PBE-relaxed structure.
Lines closer than 0.1° are merged.

Most intense lines, 10° ≤ 2θ ≤ 80°, in order of rising 2θ:
2θ = 13.2°, I 45
2θ = 25.5°, I 32
2θ = 26.0°, I 46
2θ = 26.2°, I 45
2θ = 26.6°, I 52
2θ = 31.2°, I 100
2θ = 31.5°, I 62
2θ = 35.3°, I 28
2θ = 39.2°, I 31
2θ = 46.9°, I 34

Cell and atoms:
```
Rb2NaPmBr6
1.0
7.9415 0.0000 0.0000
0.0000 8.2745 0.0000
-7.8310 0.0000 11.3692
Rb Na Pm Br
4 2 2 12
direct
0.2276 0.0653 0.2482 Rb
0.2276 0.4347 0.7482 Rb
0.7724 0.5653 0.2518 Rb
0.7724 0.9347 0.7518 Rb
0.0000 0.0000 0.5000 Na
0.0000 0.5000 0.0000 Na
0.5000 0.0000 0.0000 Pm
0.5000 0.5000 0.5000 Pm
0.1635 0.1971 0.9563 Br
0.1635 0.3029 0.4563 Br
0.2614 0.7113 0.9556 Br
0.2614 0.7887 0.4556 Br
0.3414 0.0200 0.7540 Br
0.3414 0.4800 0.2540 Br
0.6586 0.5200 0.7460 Br
0.6586 0.9800 0.2460 Br
0.7386 0.2113 0.5444 Br
0.7386 0.2887 0.0444 Br
0.8365 0.6971 0.5437 Br
0.8365 0.8029 0.0437 Br
```

=====

Record 11
Simulated powder X-ray diffraction pattern of TbNbW for Cu Kα (weighted mean of Kα1 and Kα2), from a PBE-relaxed structure.
Lines closer than 0.1° are merged.

Most intense lines, 10° ≤ 2θ ≤ 80°, in order of rising 2θ:
2θ = 20.2°, I 55
2θ = 31.2°, I 25
2θ = 34.4°, I 100
2θ = 36.2°, I 59
2θ = 36.8°, I 27
2θ = 38.6°, I 22
2θ = 39.4°, I 70
2θ = 40.0°, I 26
2θ = 43.8°, I 73
2θ = 58.8°, I 25

Cell and atoms:
```
TbNbW
1.0
0.0000 5.0838 10.4182
2.5141 0.0000 10.4182
2.5141 5.0838 0.0000
Tb Nb W
4 4 4
direct
0.0300 0.7200 0.0300 Tb
0.2800 0.9700 0.2800 Tb
0.7200 0.0300 0.7200 Tb
0.9700 0.2800 0.9700 Tb
0.2871 0.2871 0.4629 Nb
0.4629 0.4629 0.2871 Nb
0.5371 0.5371 0.7129 Nb
0.7129 0.7129 0.5371 Nb
0.0000 0.0000 0.2500 W
0.0000 0.0000 0.7500 W
0.2500 0.2500 0.0000 W
0.7500 0.7500 0.0000 W
```

=====

Record 12
Simulated powder X-ray diffraction pattern of Ca2CdMo for Cu Kα (weighted mean of Kα1 and Kα2), from a PBE-relaxed structure.
Lines closer than 0.1° are merged.

Most intense lines, 10° ≤ 2θ ≤ 80°, in order of rising 2θ:
2θ = 18.7°, I 37
2θ = 27.2°, I 16
2θ = 28.5°, I 14
2θ = 33.3°, I 100
2θ = 34.3°, I 92
2θ = 38.0°, I 35
2θ = 39.8°, I 60
2θ = 44.3°, I 17
2θ = 56.2°, I 51
2θ = 65.7°, I 13

Cell and atoms:
```
Ca2CdMo
1.0
3.1339 0.0000 0.0000
0.0000 4.7342 0.0000
-0.0136 0.0000 6.5516
Ca Cd Mo
2 1 1
direct
0.0015 0.0000 0.2366 Ca
0.9985 0.0000 0.7634 Ca
0.5000 0.5000 0.5000 Cd
0.5000 0.5000 0.0000 Mo
```

=====

Record 13
Simulated powder X-ray diffraction pattern of Dy2Cd5Ag for Cu Kα (weighted mean of Kα1 and Kα2), from a PBE-relaxed structure.
Lines closer than 0.1° are merged.

Most intense lines, 10° ≤ 2θ ≤ 80°, in order of rising 2θ:
2θ = 22.0°, I 15
2θ = 29.1°, I 70
2θ = 35.2°, I 45
2θ = 37.4°, I 47
2θ = 38.3°, I 100
2θ = 48.8°, I 16
2θ = 54.7°, I 15
2θ = 63.7°, I 14
2θ = 68.7°, I 15
2θ = 69.3°, I 17

Cell and atoms:
```
Dy2Cd5Ag
1.0
2.3484 1.3559 10.9135
-2.3484 1.3559 10.9135
0.0000 -2.7117 10.9135
Dy Cd Ag
2 5 1
direct
0.0918 0.0918 0.0918 Dy
0.9082 0.9082 0.9082 Dy
0.1964 0.1964 0.1964 Cd
0.3652 0.3652 0.3652 Cd
0.5000 0.5000 0.5000 Cd
0.6348 0.6348 0.6348 Cd
0.8036 0.8036 0.8036 Cd
0.0000 0.0000 0.0000 Ag
```

=====

Record 14
Simulated powder X-ray diffraction pattern of LaHo2UP4 for Cu Kα (weighted mean of Kα1 and Kα2), from a PBE-relaxed structure.
Lines closer than 0.1° are merged.

Most intense lines, 10° ≤ 2θ ≤ 80°, in order of rising 2θ:
2θ = 26.9°, I 23
2θ = 27.1°, I 69
2θ = 31.3°, I 100
2θ = 44.8°, I 37
2θ = 45.0°, I 37
2θ = 53.0°, I 12
2θ = 53.2°, I 23
2θ = 55.8°, I 19
2θ = 65.3°, I 12
2θ = 74.4°, I 17

Cell and atoms:
```
LaHo2UP4
1.0
6.9800 0.0000 0.0000
0.0000 4.0297 0.0000
-2.3155 0.0000 6.6305
La Ho U P
1 2 1 4
direct
0.0000 0.0000 0.0000 La
0.5000 0.0000 0.5000 Ho
0.5000 0.5000 0.0000 Ho
0.0000 0.5000 0.5000 U
0.2511 0.0000 0.7402 P
0.2561 0.5000 0.2653 P
0.7439 0.5000 0.7347 P
0.7489 0.0000 0.2598 P
```